Record 1
# PrSmB2Ir2C2
Calculated powder diffractogram, λ = 1.5418 Å (Cu Kα). Input: a crystal structure in OQMD, relaxed with GGA-PBE.

Most intense lines, 10 to 90 degrees two-theta, low angle first:
11.21°, rel. 69; 25.95°, rel. 38; 32.65°, rel. 27; 34.07°, rel. 45; 35.17°, rel. 100; 40.51°, rel. 71; 47.70°, rel. 38; 59.90°, rel. 36

Structure:
a = 3.813 Å, b = 3.813 Å, c = 7.895 Å
α = 90.00°, β = 90.00°, γ = 90.00°
Fractional coordinates of all 8 atoms:
Pr  0.000  0.000  0.000
Sm  0.500  0.500  0.666
B  0.000  0.000  0.484
B  0.500  0.500  0.180
Ir  0.000  0.500  0.334
Ir  0.500  0.000  0.334
C  0.000  0.000  0.677
C  0.500  0.500  0.986

Record 2
# K3Ag2P4HO14
Calculated powder diffractogram, λ = 1.5418 Å (Cu Kα). Input: a crystal structure in OQMD, relaxed with GGA-PBE.

Most intense lines, 10 to 90 degrees two-theta, low angle first:
14.21°, rel. 63; 18.66°, rel. 78; 19.87°, rel. 100; 29.27°, rel. 36; 30.41°, rel. 58; 30.82°, rel. 58; 32.70°, rel. 53; 42.72°, rel. 31

Structure:
a = 5.480 Å, b = 5.625 Å, c = 12.755 Å
α = 89.32°, β = 78.85°, γ = 62.21°
Fractional coordinates of all 24 atoms:
K  0.000  0.000  0.000
K  0.203  0.149  0.435
K  0.797  0.851  0.565
Ag  0.013  0.252  0.729
Ag  0.987  0.748  0.271
P  0.419  0.526  0.652
P  0.436  0.296  0.858
P  0.564  0.704  0.142
P  0.581  0.474  0.348
H  0.500  0.500  0.000
O  0.245  0.892  0.174
O  0.256  0.632  0.385
O  0.280  0.140  0.841
O  0.289  0.356  0.616
O  0.293  0.810  0.619
O  0.342  0.432  0.973
O  0.351  0.547  0.784
O  0.649  0.453  0.216
O  0.658  0.568  0.027
O  0.707  0.190  0.381
O  0.711  0.644  0.384
O  0.720  0.860  0.159
O  0.744  0.368  0.615
O  0.755  0.108  0.826

Record 3
# GdTeAuO
Calculated powder diffractogram, λ = 1.5418 Å (Cu Kα). Input: a crystal structure in OQMD, relaxed with GGA-PBE.

Most intense lines, 10 to 90 degrees two-theta, low angle first:
27.90°, rel. 94; 31.02°, rel. 100; 32.39°, rel. 67; 34.08°, rel. 91; 35.79°, rel. 55; 45.46°, rel. 66; 48.08°, rel. 39; 54.57°, rel. 42

Structure:
a = 20.704 Å, b = 4.067 Å, c = 4.067 Å
α = 89.71°, β = 90.00°, γ = 90.00°
Fractional coordinates of all 16 atoms:
Gd  0.053  0.250  0.750
Gd  0.447  0.750  0.250
Gd  0.553  0.250  0.750
Gd  0.947  0.750  0.250
Te  0.139  0.749  0.252
Te  0.361  0.249  0.752
Te  0.639  0.752  0.249
Te  0.861  0.252  0.749
Au  0.250  0.001  0.006
Au  0.250  0.501  0.506
Au  0.750  0.006  0.001
Au  0.750  0.506  0.501
O  0.000  0.250  0.250
O  0.000  0.750  0.750
O  0.500  0.250  0.250
O  0.500  0.750  0.750

Record 4
# Hf9Fe4Sn10
Calculated powder diffractogram, λ = 1.5418 Å (Cu Kα). Input: a crystal structure in OQMD, relaxed with GGA-PBE.

Most intense lines, 10 to 90 degrees two-theta, low angle first:
31.39°, rel. 59; 34.82°, rel. 87; 36.02°, rel. 64; 36.19°, rel. 86; 36.30°, rel. 100; 37.46°, rel. 100; 38.74°, rel. 72; 40.38°, rel. 51

Structure:
a = 18.257 Å, b = 18.257 Å, c = 8.930 Å
α = 90.00°, β = 90.00°, γ = 162.04°
Fractional coordinates of all 46 atoms:
Hf  0.049  0.951  0.500
Hf  0.104  0.896  0.898
Hf  0.200  0.800  0.642
Hf  0.218  0.279  0.624
Hf  0.279  0.218  0.124
Hf  0.322  0.678  0.913
Hf  0.330  0.670  0.357
Hf  0.403  0.597  0.835
Hf  0.449  0.551  0.231
Hf  0.551  0.449  0.731
Hf  0.597  0.403  0.335
Hf  0.670  0.330  0.857
Hf  0.678  0.322  0.413
Hf  0.721  0.782  0.624
Hf  0.782  0.721  0.124
Hf  0.800  0.200  0.142
Hf  0.896  0.104  0.398
Hf  0.951  0.049  0.000
Fe  0.011  0.513  0.889
Fe  0.140  0.441  0.644
Fe  0.441  0.140  0.144
Fe  0.487  0.989  0.889
Fe  0.513  0.011  0.389
Fe  0.559  0.860  0.644
Fe  0.860  0.559  0.144
Fe  0.989  0.487  0.389
Sn  0.024  0.976  0.821
Sn  0.098  0.902  0.237
Sn  0.125  0.369  0.109
Sn  0.186  0.814  0.959
Sn  0.187  0.813  0.325
Sn  0.267  0.733  0.147
Sn  0.281  0.719  0.629
Sn  0.369  0.125  0.609
Sn  0.404  0.596  0.502
Sn  0.480  0.520  0.919
Sn  0.520  0.480  0.419
Sn  0.596  0.404  0.002
Sn  0.631  0.875  0.109
Sn  0.719  0.281  0.129
Sn  0.733  0.267  0.647
Sn  0.813  0.187  0.825
Sn  0.814  0.186  0.459
Sn  0.875  0.631  0.609
Sn  0.902  0.098  0.737
Sn  0.976  0.024  0.321